Structure and theoretical X-ray diffraction stick pattern of Sm11Dy4Y9 (a structure optimized by DFT (GGA-PBE); a wavelength of 1.5418 Å).

Most intense lines, 10 to 90 degrees two-theta, sorted by position:
Position (°2θ)	I_rel
29.72	95
29.99	35
30.90	36
31.90	24
32.18	99
32.29	100
33.98	29
49.69	29
59.00	31
60.65	20

Cell and atoms:
```
Sm11Dy4Y9
1.0
8.4684 -12.8020 0.0000
8.4684 12.8020 0.0000
0.0000 0.0000 3.6686
Sm Dy Y
11 4 9
direct
0.0000 0.0000 0.0000 Sm
0.0449 0.4070 0.0000 Sm
0.1600 0.8400 0.0000 Sm
0.2929 0.2929 0.0000 Sm
0.3682 0.6318 0.0000 Sm
0.4070 0.0449 0.0000 Sm
0.5930 0.9551 0.0000 Sm
0.6318 0.3682 0.0000 Sm
0.7071 0.7071 0.0000 Sm
0.8400 0.1600 0.0000 Sm
0.9551 0.5930 0.0000 Sm
0.2427 0.4453 0.5000 Dy
0.4453 0.2427 0.5000 Dy
0.5547 0.7573 0.5000 Dy
0.7573 0.5547 0.5000 Dy
0.0681 0.2141 0.5000 Y
0.1644 0.6311 0.5000 Y
0.2141 0.0681 0.5000 Y
0.3689 0.8356 0.5000 Y
0.5000 0.5000 0.5000 Y
0.6311 0.1644 0.5000 Y
0.7859 0.9319 0.5000 Y
0.8356 0.3689 0.5000 Y
0.9319 0.7859 0.5000 Y
```